1.
Structure and computed powder X-ray diffraction pattern of Al5W (DFT lattice parameters and positions (GGA-PBE); λ = 1.5418 Å (Cu Kα)).
Neutral-atom scattering factors, no anomalous dispersion.

Crystal structure
```
data_Al5W
_cell_length_a 4.9134
_cell_length_b 4.9134
_cell_length_c 8.8658
_cell_angle_alpha 90.00
_cell_angle_beta 90.00
_cell_angle_gamma 120.00
_space_group_name_H-M_alt 'P 63 2 2'
_space_group_IT_number 182
_space_group_name_Hall 'P 6c 2c'
loop_
_atom_site_label
_atom_site_fract_x
_atom_site_fract_y
_atom_site_fract_z
Al1 0.0000 0.0000 0.2500
Al2 0.0000 0.3376 0.0000
Al3 0.3333 0.6667 0.2500
W1 0.3333 0.6667 0.7500
```

Largest 6 diffraction maxima, by angle, 2θ = 10–80°:
| 2θ (°) | I_rel |
| --- | --- |
| 20.03 | 31 |
| 20.88 | 22 |
| 23.19 | 100 |
| 36.58 | 34 |
| 37.04 | 31 |
| 42.05 | 92 |


2.
Structure and computed powder X-ray diffraction pattern of Rb14NaO (DFT lattice parameters and positions (GGA-PBE); λ = 1.5418 Å (Cu Kα)).
Neutral-atom scattering factors, no anomalous dispersion.

Crystal structure
```
data_Rb14NaO
_cell_length_a 13.0552
_cell_length_b 12.8176
_cell_length_c 15.4083
_cell_angle_alpha 90.00
_cell_angle_beta 90.00
_cell_angle_gamma 90.00
_space_group_name_H-M_alt 'A m m 2'
_space_group_IT_number 38
loop_
_space_group_symop_operation_xyz
'x,y,z'
'-x,-y,z'
'-x,y,z'
'x,-y,z'
'x,y+1/2,z+1/2'
'-x,-y+1/2,z+1/2'
'-x,y+1/2,z+1/2'
'x,-y+1/2,z+1/2'
loop_
_atom_site_label
_atom_site_fract_x
_atom_site_fract_y
_atom_site_fract_z
Rb1 0.0000 0.0000 0.0000
Rb2 0.0000 0.0000 0.4432
Rb3 0.0000 0.2210 0.7248
Rb4 0.2892 0.0000 0.8025
Rb5 0.2898 0.0000 0.2051
Rb6 0.2934 0.1997 0.4959
Rb7 0.5000 0.1907 0.7486
Na1 0.5000 0.0000 0.9592
O1 0.5000 0.0000 0.8154
```

Largest 6 diffraction maxima, by angle, 2θ = 10–80°:
| 2θ (°) | I_rel |
| --- | --- |
| 19.26 | 17 |
| 21.58 | 16 |
| 22.61 | 100 |
| 23.10 | 41 |
| 27.33 | 18 |
| 39.04 | 14 |


3.
Structure and computed powder X-ray diffraction pattern of AcAl2 (DFT lattice parameters and positions (GGA-PBE); λ = 1.5418 Å (Cu Kα)).
Neutral-atom scattering factors, no anomalous dispersion.

Crystal structure
Cell lengths 8.3612, 8.3612, 8.3612 Å; angles 90.00, 90.00, 90.00 degrees
Space group Fd-3m (No. 227, origin choice 2)
Symmetry-distinct sites (fractional):
Ac (0.1250, 0.1250, 0.1250) x8
Al (0.0000, 0.0000, 0.5000) x16

Largest 6 diffraction maxima, by angle, 2θ = 10–80°:
| 2θ (°) | I_rel |
| --- | --- |
| 18.38 | 73 |
| 30.23 | 100 |
| 35.61 | 90 |
| 47.39 | 21 |
| 53.71 | 42 |
| 57.25 | 31 |


4.
Structure and computed powder X-ray diffraction pattern of Tm3Ni2Au (DFT lattice parameters and positions (GGA-PBE); λ = 1.5418 Å (Cu Kα)).
Neutral-atom scattering factors, no anomalous dispersion.

Crystal structure
```
data_Tm3Ni2Au
_cell_length_a 3.9607
_cell_length_b 8.9711
_cell_length_c 7.0674
_cell_angle_alpha 90.00
_cell_angle_beta 90.00
_cell_angle_gamma 90.00
_space_group_name_H-M_alt 'P m c 21'
_space_group_IT_number 26
loop_
_space_group_symop_operation_xyz
'x,y,z'
'-x,-y,z+1/2'
'-x,y,z'
'x,-y,z+1/2'
loop_
_atom_site_label
_atom_site_fract_x
_atom_site_fract_y
_atom_site_fract_z
Tm1 0.0000 0.0728 0.0000
Tm2 0.5000 0.2323 0.3657
Tm3 0.5000 0.3801 0.8294
Ni1 0.0000 0.2259 0.6403
Ni2 0.5000 0.0696 0.7206
Au1 0.0000 0.4177 0.1396
```

Largest 6 diffraction maxima, by angle, 2θ = 10–80°:
| 2θ (°) | I_rel |
| --- | --- |
| 32.51 | 72 |
| 32.72 | 52 |
| 34.00 | 100 |
| 35.48 | 47 |
| 39.87 | 93 |
| 45.82 | 42 |


5.
Structure and computed powder X-ray diffraction pattern of Th2GaGe2 (DFT lattice parameters and positions (GGA-PBE); λ = 1.5418 Å (Cu Kα)).
Neutral-atom scattering factors, no anomalous dispersion.

Crystal structure
```
data_Th2GaGe2
_cell_length_a 4.2238
_cell_length_b 6.4447
_cell_length_c 8.8103
_cell_angle_alpha 90.00
_cell_angle_beta 90.00
_cell_angle_gamma 90.00
_space_group_name_H-M_alt 'I m m m'
_space_group_IT_number 71
_space_group_name_Hall '-I 2 2'
loop_
_atom_site_label
_atom_site_fract_x
_atom_site_fract_y
_atom_site_fract_z
Th1 0.0000 0.0000 0.2214
Ga1 0.0000 0.5000 0.0000
Ge1 0.0000 0.2965 0.5000
```

Largest 6 diffraction maxima, by angle, 2θ = 10–80°:
| 2θ (°) | I_rel |
| --- | --- |
| 25.21 | 35 |
| 27.68 | 20 |
| 32.49 | 100 |
| 34.48 | 33 |
| 36.53 | 20 |
| 42.82 | 19 |


6.
Structure and computed powder X-ray diffraction pattern of Dy2Y7Er4 (DFT lattice parameters and positions (GGA-PBE); λ = 1.5418 Å (Cu Kα)).
Neutral-atom scattering factors, no anomalous dispersion.

Crystal structure
```
data_Dy2Y7Er4
_cell_length_a 6.1451
_cell_length_b 7.9027
_cell_length_c 9.3928
_cell_angle_alpha 65.14
_cell_angle_beta 89.77
_cell_angle_gamma 82.53
_space_group_name_H-M_alt 'P -1'
_space_group_IT_number 2
loop_
_space_group_symop_operation_xyz
'x,y,z'
'-x,-y,-z'
loop_
_atom_site_label
_atom_site_fract_x
_atom_site_fract_y
_atom_site_fract_z
Dy1 0.1535 0.0760 0.1152
Y1 0.0000 0.0000 0.5000
Y2 0.0768 0.5385 0.8075
Y3 0.2323 0.6152 0.4229
Y4 0.3864 0.6940 0.0377
Er1 0.3075 0.1527 0.7300
Er2 0.4603 0.2289 0.3466
```

Largest 6 diffraction maxima, by angle, 2θ = 10–80°:
| 2θ (°) | I_rel |
| --- | --- |
| 30.89 | 100 |
| 35.67 | 17 |
| 35.89 | 33 |
| 51.50 | 24 |
| 61.13 | 14 |
| 61.40 | 17 |


7.
Structure and computed powder X-ray diffraction pattern of AcPm3PrSm (DFT lattice parameters and positions (GGA-PBE); λ = 1.5418 Å (Cu Kα)).
Neutral-atom scattering factors, no anomalous dispersion.

Crystal structure
```
data_AcPm3PrSm
_cell_length_a 8.3090
_cell_length_b 5.2539
_cell_length_c 10.4967
_cell_angle_alpha 90.00
_cell_angle_beta 108.57
_cell_angle_gamma 90.00
_space_group_name_H-M_alt 'P 1 21/m 1'
_space_group_IT_number 11
loop_
_space_group_symop_operation_xyz
'x,y,z'
'-x,-y,-z'
'-x,y+1/2,-z'
'x,-y+1/2,z'
loop_
_atom_site_label
_atom_site_fract_x
_atom_site_fract_y
_atom_site_fract_z
Ac1 0.1662 0.2500 0.2919
Pm1 0.1696 0.7500 0.0401
Pm2 0.1697 0.7500 0.5452
Pm3 0.1706 0.2500 0.7923
Pr1 0.4963 0.7500 0.8749
Sm1 0.4981 0.2500 0.6261
```

Largest 6 diffraction maxima, by angle, 2θ = 10–80°:
| 2θ (°) | I_rel |
| --- | --- |
| 29.46 | 100 |
| 34.15 | 51 |
| 49.06 | 25 |
| 58.25 | 29 |
| 58.34 | 15 |
| 79.55 | 9 |


8.
Structure and computed powder X-ray diffraction pattern of LaPmAg2S4 (DFT lattice parameters and positions (GGA-PBE); λ = 1.5418 Å (Cu Kα)).
Neutral-atom scattering factors, no anomalous dispersion.

Crystal structure
```
data_LaPmAg2S4
_cell_length_a 6.8092
_cell_length_b 6.8846
_cell_length_c 8.3879
_cell_angle_alpha 90.00
_cell_angle_beta 90.00
_cell_angle_gamma 90.00
_space_group_name_H-M_alt 'I 2 2 2'
_space_group_IT_number 23
loop_
_space_group_symop_operation_xyz
'x,y,z'
'-x,-y,z'
'x,-y,-z'
'-x,y,-z'
'x+1/2,y+1/2,z+1/2'
'-x+1/2,-y+1/2,z+1/2'
'x+1/2,-y+1/2,-z+1/2'
'-x+1/2,y+1/2,-z+1/2'
loop_
_atom_site_label
_atom_site_fract_x
_atom_site_fract_y
_atom_site_fract_z
La1 0.0000 0.0000 0.0000
Pm1 0.0000 0.0000 0.5000
Ag1 0.0000 0.5000 0.1724
S1 0.2360 0.2499 0.3353
```

Largest 6 diffraction maxima, by angle, 2θ = 10–80°:
| 2θ (°) | I_rel |
| --- | --- |
| 25.88 | 23 |
| 26.17 | 23 |
| 28.15 | 100 |
| 37.14 | 53 |
| 47.07 | 24 |
| 47.42 | 23 |


9.
Structure and computed powder X-ray diffraction pattern of Sm2AlHg (DFT lattice parameters and positions (GGA-PBE); λ = 1.5418 Å (Cu Kα)).
Neutral-atom scattering factors, no anomalous dispersion.

Crystal structure
```
data_Sm2AlHg
_cell_length_a 7.5236
_cell_length_b 7.5236
_cell_length_c 7.5236
_cell_angle_alpha 90.00
_cell_angle_beta 90.00
_cell_angle_gamma 90.00
_space_group_name_H-M_alt 'F m -3 m'
_space_group_IT_number 225
_space_group_name_Hall '-F 4 2 3'
loop_
_atom_site_label
_atom_site_fract_x
_atom_site_fract_y
_atom_site_fract_z
Sm1 0.2500 0.2500 0.2500
Al1 0.0000 0.0000 0.0000
Hg1 0.0000 0.0000 0.5000
```

Largest 6 diffraction maxima, by angle, 2θ = 10–80°:
| 2θ (°) | I_rel |
| --- | --- |
| 20.45 | 24 |
| 33.69 | 100 |
| 39.73 | 14 |
| 48.39 | 18 |
| 60.26 | 38 |
| 70.85 | 12 |


10.
Structure and computed powder X-ray diffraction pattern of Zr2NbAl (DFT lattice parameters and positions (GGA-PBE); λ = 1.5418 Å (Cu Kα)).
Neutral-atom scattering factors, no anomalous dispersion.

Crystal structure
```
data_Zr2NbAl
_cell_length_a 3.5175
_cell_length_b 3.5175
_cell_length_c 6.4741
_cell_angle_alpha 90.00
_cell_angle_beta 90.00
_cell_angle_gamma 90.00
_space_group_name_H-M_alt 'P 4/m m m'
_space_group_IT_number 123
_space_group_name_Hall '-P 4 2'
loop_
_atom_site_label
_atom_site_fract_x
_atom_site_fract_y
_atom_site_fract_z
Zr1 0.0000 0.0000 0.2484
Nb1 0.5000 0.5000 0.0000
Al1 0.5000 0.5000 0.5000
```

Largest 6 diffraction maxima, by angle, 2θ = 10–80°:
| 2θ (°) | I_rel |
| --- | --- |
| 13.68 | 16 |
| 36.11 | 57 |
| 37.77 | 100 |
| 52.00 | 19 |
| 66.03 | 37 |
| 69.26 | 16 |